Record 1
Calculated XRD peak list
Compound: SmMnSe2ClO6
Radiation: Cu Ka
Structure: a structure optimized by DFT (PBE+U)
Intensities are scaled so that the largest is 100.

Largest 8 diffraction maxima, in order of rising 2θ, 2θ from 15° to 90°:
| Position (°2θ) | d (Å) | I_rel |
| --- | --- | --- |
| 18.44 | 4.812 | 36 |
| 25.36 | 3.512 | 79 |
| 27.79 | 3.210 | 90 |
| 27.99 | 3.188 | 65 |
| 28.86 | 3.094 | 100 |
| 29.49 | 3.029 | 38 |
| 44.45 | 2.038 | 38 |
| 45.77 | 1.982 | 35 |

Structural model:
Unit cell a=7.0959 b=7.3664 c=8.1673 alpha=86.66 beta=71.70 gamma=64.35
Sites, in units of the cell vectors:
Sm 0.1796 0.1699 0.4674
Sm 0.8204 0.8301 0.5326
Mn 0.1986 0.0962 0.9775
Mn 0.8014 0.9038 0.0225
Se 0.1761 0.5250 0.1824
Se 0.2977 0.7408 0.6821
Se 0.7023 0.2592 0.3179
Se 0.8239 0.4750 0.8176
Cl 0.4338 0.8550 0.1670
Cl 0.5662 0.1450 0.8330
O 0.0869 0.2755 0.7745
O 0.0934 0.8945 0.5970
O 0.1235 0.3145 0.1862
O 0.1734 0.8300 0.8990
O 0.1828 0.5224 0.3925
O 0.4493 0.8783 0.6124
O 0.5507 0.1217 0.3876
O 0.8172 0.4776 0.6075
O 0.8266 0.1700 0.1010
O 0.8765 0.6855 0.8138
O 0.9066 0.1055 0.4030
O 0.9131 0.7245 0.2255

Record 2
Calculated XRD peak list
Compound: VFeP2O8
Radiation: Cu Ka
Structure: a structure optimized by DFT (PBE+U)
Intensities are scaled so that the largest is 100.

Largest 8 diffraction maxima, in order of rising 2θ, 2θ from 15° to 90°:
| Position (°2θ) | d (Å) | I_rel |
| --- | --- | --- |
| 20.55 | 4.321 | 74 |
| 24.32 | 3.659 | 100 |
| 33.29 | 2.691 | 66 |
| 36.00 | 2.495 | 35 |
| 47.71 | 1.906 | 25 |
| 49.84 | 1.830 | 26 |
| 56.33 | 1.633 | 21 |
| 63.00 | 1.475 | 19 |

Structural model:
Unit cell a=8.4985 b=8.4985 c=8.4985 alpha=61.13 beta=61.13 gamma=61.13
Sites, in units of the cell vectors:
V 0.0000 0.0000 0.0000
V 0.1459 0.1459 0.1459
V 0.6454 0.6454 0.6454
Fe 0.2907 0.2907 0.2907
Fe 0.4990 0.4990 0.4990
Fe 0.7901 0.7901 0.7901
P 0.0981 0.6906 0.3935
P 0.1897 0.5995 0.8933
P 0.3935 0.0981 0.6906
P 0.5995 0.8933 0.1897
P 0.6906 0.3935 0.0981
P 0.8933 0.1897 0.5995
O 0.0384 0.6443 0.8176
O 0.0509 0.2051 0.4015
O 0.0781 0.8924 0.2346
O 0.1407 0.7575 0.9679
O 0.1419 0.5373 0.3206
O 0.2051 0.4015 0.0509
O 0.2346 0.0781 0.8924
O 0.2545 0.6521 0.4602
O 0.3206 0.1419 0.5373
O 0.3899 0.5890 0.7376
O 0.4015 0.0509 0.2051
O 0.4602 0.2545 0.6521
O 0.5373 0.3206 0.1419
O 0.5506 0.8980 0.7079
O 0.5890 0.7376 0.3899
O 0.6443 0.8176 0.0384
O 0.6521 0.4602 0.2545
O 0.7079 0.5506 0.8980
O 0.7376 0.3899 0.5890
O 0.7575 0.9679 0.1407
O 0.8176 0.0384 0.6443
O 0.8924 0.2346 0.0781
O 0.8980 0.7079 0.5506
O 0.9679 0.1407 0.7575